Record 1
GdNiB4: simulated powder X-ray diffraction pattern (Cu Kα (λ = 1.5418 Å)), based on a DFT-relaxed cell (PBE, OQMD).
Kinematic intensities with the Lorentz-polarization factor, no thermal factor.

Cell and atoms:
```
data_GdNiB4
_chemical_formula_sum 'Gd4 Ni4 B16'
_cell_length_a 6.844
_cell_length_b 6.844
_cell_length_c 6.844
_cell_angle_alpha 112.91
_cell_angle_beta 112.91
_cell_angle_gamma 102.79
_space_group_name_H-M_alt 'P 1'
_space_group_IT_number 1
loop_
_space_group_symop_operation_xyz
'x,y,z'
loop_
_atom_site_label
_atom_site_fract_x
_atom_site_fract_y
_atom_site_fract_z
Gd1 0.203 0.203 0.000
Gd2 0.250 0.750 0.500
Gd3 0.750 0.250 0.500
Gd4 0.797 0.797 0.000
Ni1 0.272 0.500 0.772
Ni2 0.500 0.272 0.772
Ni3 0.500 0.728 0.228
Ni4 0.728 0.500 0.228
B1 0.112 0.276 0.387
B2 0.112 0.724 0.836
B3 0.113 0.113 0.532
B4 0.113 0.582 0.000
B5 0.276 0.112 0.387
B6 0.276 0.888 0.164
B7 0.418 0.418 0.532
B8 0.418 0.887 0.000
B9 0.582 0.113 0.000
B10 0.582 0.582 0.468
B11 0.724 0.112 0.836
B12 0.724 0.888 0.613
B13 0.887 0.418 0.000
B14 0.887 0.887 0.468
B15 0.888 0.276 0.164
B16 0.888 0.724 0.613
```

Top 12 peaks for 15 to 90 degrees two-theta, sorted by position:
2θ/deg, I/Imax
23.5, 74
28.4, 21
31.6, 83
33.5, 20
33.6, 29
39.8, 100
48.1, 42
54.2, 20
58.7, 26
70.5, 20
71.1, 23
84.0, 19

Record 2
Li5ReO4: simulated powder X-ray diffraction pattern (Cu Kα (λ = 1.5418 Å)), based on a DFT-relaxed cell (PBE, OQMD).
Kinematic intensities with the Lorentz-polarization factor, no thermal factor.

Cell and atoms:
```
data_Li5ReO4
_chemical_formula_sum 'Li5 Re1 O4'
_cell_length_a 5.140
_cell_length_b 2.998
_cell_length_c 5.480
_cell_angle_alpha 90.00
_cell_angle_beta 90.95
_cell_angle_gamma 90.00
_space_group_name_H-M_alt 'P 1'
_space_group_IT_number 1
loop_
_space_group_symop_operation_xyz
'x,y,z'
loop_
_atom_site_label
_atom_site_fract_x
_atom_site_fract_y
_atom_site_fract_z
Li1 0.000 0.000 0.000
Li2 0.347 0.500 0.145
Li3 0.371 0.000 0.673
Li4 0.629 0.000 0.327
Li5 0.653 0.500 0.855
Re1 0.000 0.500 0.500
O1 0.239 0.500 0.823
O2 0.245 0.000 0.334
O3 0.755 0.000 0.666
O4 0.761 0.500 0.177
```

Top 12 peaks for 15 to 90 degrees two-theta, sorted by position:
2θ/deg, I/Imax
16.2, 100
17.3, 87
23.5, 42
23.9, 40
29.8, 23
34.1, 22
34.6, 32
37.5, 22
38.3, 43
38.6, 17
48.1, 21
49.4, 21

Record 3
Ta2As3W4N3: simulated powder X-ray diffraction pattern (Cu Kα (λ = 1.5418 Å)), based on a DFT-relaxed cell (PBE, OQMD).
Kinematic intensities with the Lorentz-polarization factor, no thermal factor.

Cell and atoms:
```
data_Ta2As3W4N3
_chemical_formula_sum 'Ta4 As6 W8 N6'
_cell_length_a 5.656
_cell_length_b 5.656
_cell_length_c 12.880
_cell_angle_alpha 106.80
_cell_angle_beta 106.80
_cell_angle_gamma 58.82
_space_group_name_H-M_alt 'P 1'
_space_group_IT_number 1
loop_
_space_group_symop_operation_xyz
'x,y,z'
loop_
_atom_site_label
_atom_site_fract_x
_atom_site_fract_y
_atom_site_fract_z
Ta1 0.050 0.103 0.391
Ta2 0.103 0.050 0.891
Ta3 0.897 0.950 0.109
Ta4 0.950 0.897 0.609
As1 0.061 0.299 0.740
As2 0.299 0.061 0.240
As3 0.410 0.590 0.750
As4 0.590 0.410 0.250
As5 0.701 0.939 0.760
As6 0.939 0.701 0.260
W1 0.191 0.363 0.094
W2 0.324 0.458 0.419
W3 0.363 0.191 0.594
W4 0.458 0.324 0.919
W5 0.542 0.676 0.081
W6 0.637 0.809 0.406
W7 0.676 0.542 0.581
W8 0.809 0.637 0.906
N1 0.000 0.500 0.500
N2 0.149 0.741 0.968
N3 0.259 0.851 0.532
N4 0.500 0.000 0.000
N5 0.741 0.149 0.468
N6 0.851 0.259 0.032
```

Top 12 peaks for 15 to 90 degrees two-theta, sorted by position:
2θ/deg, I/Imax
29.4, 19
31.7, 32
32.1, 40
32.2, 37
37.6, 79
39.3, 63
40.2, 100
44.2, 15
44.8, 31
56.2, 27
57.2, 29
71.9, 14

Record 4
Nd2Al4IrPt: simulated powder X-ray diffraction pattern (Cu Kα (λ = 1.5418 Å)), based on a DFT-relaxed cell (PBE, OQMD).
Kinematic intensities with the Lorentz-polarization factor, no thermal factor.

Cell and atoms:
```
data_Nd2Al4IrPt
_chemical_formula_sum 'Nd4 Al8 Ir2 Pt2'
_cell_length_a 11.262
_cell_length_b 5.486
_cell_length_c 7.131
_cell_angle_alpha 90.00
_cell_angle_beta 128.00
_cell_angle_gamma 90.00
_space_group_name_H-M_alt 'P 1'
_space_group_IT_number 1
loop_
_space_group_symop_operation_xyz
'x,y,z'
loop_
_atom_site_label
_atom_site_fract_x
_atom_site_fract_y
_atom_site_fract_z
Nd1 0.000 0.000 0.000
Nd2 0.127 0.000 0.631
Nd3 0.500 0.500 0.000
Nd4 0.627 0.500 0.631
Al1 0.209 0.500 0.422
Al2 0.280 0.500 0.129
Al3 0.344 0.000 0.506
Al4 0.411 0.000 0.199
Al5 0.709 0.000 0.422
Al6 0.780 0.000 0.129
Al7 0.844 0.500 0.506
Al8 0.911 0.500 0.199
Ir1 0.008 0.500 0.958
Ir2 0.508 0.000 0.958
Pt1 0.117 0.500 0.676
Pt2 0.617 0.000 0.676
```

Top 12 peaks for 15 to 90 degrees two-theta, sorted by position:
2θ/deg, I/Imax
15.8, 56
20.0, 70
25.0, 59
32.5, 100
32.6, 70
33.0, 28
38.6, 27
39.0, 26
41.5, 32
46.8, 79
47.1, 21
51.8, 23

Record 5
Y4NiB3: simulated powder X-ray diffraction pattern (Cu Kα (λ = 1.5418 Å)), based on a DFT-relaxed cell (PBE, OQMD).
Kinematic intensities with the Lorentz-polarization factor, no thermal factor.

Cell and atoms:
```
data_Y4NiB3
_chemical_formula_sum 'Y8 Ni2 B6'
_cell_length_a 3.614
_cell_length_b 3.614
_cell_length_c 27.818
_cell_angle_alpha 90.00
_cell_angle_beta 90.00
_cell_angle_gamma 120.00
_space_group_name_H-M_alt 'P 1'
_space_group_IT_number 1
loop_
_space_group_symop_operation_xyz
'x,y,z'
loop_
_atom_site_label
_atom_site_fract_x
_atom_site_fract_y
_atom_site_fract_z
Y1 0.000 0.000 0.181
Y2 0.000 0.000 0.319
Y3 0.000 0.000 0.681
Y4 0.000 0.000 0.819
Y5 0.333 0.667 0.061
Y6 0.333 0.667 0.439
Y7 0.667 0.333 0.561
Y8 0.667 0.333 0.939
Ni1 0.333 0.667 0.250
Ni2 0.667 0.333 0.750
B1 0.000 0.000 0.000
B2 0.000 0.000 0.500
B3 0.333 0.667 0.624
B4 0.333 0.667 0.876
B5 0.667 0.333 0.124
B6 0.667 0.333 0.376
```

Top 12 peaks for 15 to 90 degrees two-theta, sorted by position:
2θ/deg, I/Imax
25.6, 38
28.7, 27
29.2, 48
32.8, 80
34.6, 100
43.5, 24
46.1, 27
50.5, 50
54.7, 14
57.5, 24
62.7, 17
76.0, 24

Record 6
La2IrPt: simulated powder X-ray diffraction pattern (Cu Kα (λ = 1.5418 Å)), based on a DFT-relaxed cell (PBE, OQMD).
Kinematic intensities with the Lorentz-polarization factor, no thermal factor.

Cell and atoms:
```
data_La2IrPt
_chemical_formula_sum 'La4 Ir2 Pt2'
_cell_length_a 5.988
_cell_length_b 4.379
_cell_length_c 8.015
_cell_angle_alpha 90.00
_cell_angle_beta 109.80
_cell_angle_gamma 90.00
_space_group_name_H-M_alt 'P 1'
_space_group_IT_number 1
loop_
_space_group_symop_operation_xyz
'x,y,z'
loop_
_atom_site_label
_atom_site_fract_x
_atom_site_fract_y
_atom_site_fract_z
La1 0.223 0.250 0.437
La2 0.228 0.250 0.925
La3 0.772 0.750 0.075
La4 0.777 0.750 0.563
Ir1 0.317 0.750 0.706
Ir2 0.683 0.250 0.294
Pt1 0.320 0.750 0.204
Pt2 0.680 0.250 0.796
```

Top 12 peaks for 15 to 90 degrees two-theta, sorted by position:
2θ/deg, I/Imax
15.7, 10
31.3, 100
31.8, 36
38.0, 24
38.7, 45
38.8, 44
41.2, 30
45.3, 23
53.0, 18
62.9, 17
69.0, 10
73.5, 14

Record 7
YHo2Co9: simulated powder X-ray diffraction pattern (Cu Kα (λ = 1.5418 Å)), based on a DFT-relaxed cell (PBE, OQMD).
Kinematic intensities with the Lorentz-polarization factor, no thermal factor.

Cell and atoms:
```
data_YHo2Co9
_chemical_formula_sum 'Y1 Ho2 Co9'
_cell_length_a 8.558
_cell_length_b 8.558
_cell_length_c 8.558
_cell_angle_alpha 33.58
_cell_angle_beta 33.58
_cell_angle_gamma 33.58
_space_group_name_H-M_alt 'P 1'
_space_group_IT_number 1
loop_
_space_group_symop_operation_xyz
'x,y,z'
loop_
_atom_site_label
_atom_site_fract_x
_atom_site_fract_y
_atom_site_fract_z
Y1 0.000 0.000 0.000
Ho1 0.140 0.140 0.140
Ho2 0.860 0.860 0.860
Co1 0.079 0.583 0.583
Co2 0.335 0.335 0.335
Co3 0.417 0.417 0.921
Co4 0.417 0.921 0.417
Co5 0.500 0.500 0.500
Co6 0.583 0.079 0.583
Co7 0.583 0.583 0.079
Co8 0.665 0.665 0.665
Co9 0.921 0.417 0.417
```

Top 12 peaks for 15 to 90 degrees two-theta, sorted by position:
2θ/deg, I/Imax
25.5, 12
33.3, 42
36.4, 84
42.4, 34
42.9, 100
44.9, 27
46.4, 40
63.5, 13
65.4, 21
69.6, 11
69.9, 36
77.2, 20

Record 8
Ta3Br7: simulated powder X-ray diffraction pattern (Cu Kα (λ = 1.5418 Å)), based on a DFT-relaxed cell (PBE, OQMD).
Kinematic intensities with the Lorentz-polarization factor, no thermal factor.

Cell and atoms:
```
data_Ta3Br7
_chemical_formula_sum 'Ta12 Br28'
_cell_length_a 9.787
_cell_length_b 9.787
_cell_length_c 11.659
_cell_angle_alpha 90.00
_cell_angle_beta 90.00
_cell_angle_gamma 87.12
_space_group_name_H-M_alt 'P 1'
_space_group_IT_number 1
loop_
_space_group_symop_operation_xyz
'x,y,z'
loop_
_atom_site_label
_atom_site_fract_x
_atom_site_fract_y
_atom_site_fract_z
Ta1 0.048 0.162 0.892
Ta2 0.123 0.877 0.912
Ta3 0.162 0.048 0.108
Ta4 0.338 0.452 0.608
Ta5 0.377 0.623 0.412
Ta6 0.452 0.338 0.392
Ta7 0.548 0.662 0.608
Ta8 0.623 0.377 0.588
Ta9 0.662 0.548 0.392
Ta10 0.838 0.952 0.892
Ta11 0.877 0.123 0.088
Ta12 0.952 0.838 0.108
Br1 0.030 0.218 0.247
Br2 0.108 0.642 0.014
Br3 0.109 0.391 0.750
Br4 0.140 0.860 0.269
Br5 0.142 0.608 0.514
Br6 0.218 0.030 0.753
Br7 0.244 0.244 0.500
Br8 0.256 0.256 0.000
Br9 0.282 0.470 0.253
Br10 0.358 0.892 0.014
Br11 0.360 0.640 0.769
Br12 0.391 0.109 0.250
Br13 0.392 0.858 0.514
Br14 0.470 0.282 0.747
Br15 0.530 0.718 0.253
Br16 0.608 0.142 0.486
Br17 0.609 0.891 0.750
Br18 0.640 0.360 0.231
Br19 0.642 0.108 0.986
Br20 0.718 0.530 0.747
Br21 0.744 0.744 0.000
Br22 0.756 0.756 0.500
Br23 0.782 0.970 0.247
Br24 0.858 0.392 0.486
Br25 0.860 0.140 0.731
Br26 0.891 0.609 0.250
Br27 0.892 0.358 0.986
Br28 0.970 0.782 0.753
```

Top 12 peaks for 15 to 90 degrees two-theta, sorted by position:
2θ/deg, I/Imax
25.1, 25
30.6, 30
32.4, 22
33.2, 24
35.2, 23
35.8, 18
36.8, 100
37.3, 31
39.7, 23
40.7, 24
46.7, 19
47.9, 24

Record 9
Cs2Cd2BiAs: simulated powder X-ray diffraction pattern (Cu Kα (λ = 1.5418 Å)), based on a DFT-relaxed cell (PBE, OQMD).
Kinematic intensities with the Lorentz-polarization factor, no thermal factor.

Cell and atoms:
```
data_Cs2Cd2BiAs
_chemical_formula_sum 'Cs2 Cd2 Bi1 As1'
_cell_length_a 4.911
_cell_length_b 4.911
_cell_length_c 9.057
_cell_angle_alpha 90.00
_cell_angle_beta 90.00
_cell_angle_gamma 90.00
_space_group_name_H-M_alt 'P 1'
_space_group_IT_number 1
loop_
_space_group_symop_operation_xyz
'x,y,z'
loop_
_atom_site_label
_atom_site_fract_x
_atom_site_fract_y
_atom_site_fract_z
Cs1 0.000 0.000 0.000
Cs2 0.500 0.500 0.317
Cd1 0.000 0.500 0.642
Cd2 0.500 0.000 0.642
Bi1 0.500 0.500 0.840
As1 0.000 0.000 0.473
```

Top 12 peaks for 15 to 90 degrees two-theta, sorted by position:
2θ/deg, I/Imax
25.7, 26
26.8, 100
27.5, 38
32.5, 86
36.6, 63
44.0, 29
45.9, 46
48.0, 17
52.7, 22
58.6, 25
63.3, 25
73.7, 12

Record 10
PrAl5PdAu: simulated powder X-ray diffraction pattern (Cu Kα (λ = 1.5418 Å)), based on a DFT-relaxed cell (PBE, OQMD).
Kinematic intensities with the Lorentz-polarization factor, no thermal factor.

Cell and atoms:
```
data_PrAl5PdAu
_chemical_formula_sum 'Pr2 Al10 Pd2 Au2'
_cell_length_a 4.127
_cell_length_b 7.355
_cell_length_c 9.968
_cell_angle_alpha 90.00
_cell_angle_beta 90.00
_cell_angle_gamma 90.00
_space_group_name_H-M_alt 'P 1'
_space_group_IT_number 1
loop_
_space_group_symop_operation_xyz
'x,y,z'
loop_
_atom_site_label
_atom_site_fract_x
_atom_site_fract_y
_atom_site_fract_z
Pr1 0.000 0.000 0.000
Pr2 0.500 0.500 0.500
Al1 0.000 0.183 0.352
Al2 0.000 0.193 0.642
Al3 0.000 0.500 0.997
Al4 0.000 0.807 0.642
Al5 0.000 0.817 0.352
Al6 0.500 0.000 0.497
Al7 0.500 0.307 0.142
Al8 0.500 0.317 0.852
Al9 0.500 0.683 0.852
Al10 0.500 0.693 0.142
Pd1 0.000 0.500 0.755
Pd2 0.500 0.000 0.255
Au1 0.000 0.500 0.248
Au2 0.500 0.000 0.748
```

Top 12 peaks for 15 to 90 degrees two-theta, sorted by position:
2θ/deg, I/Imax
17.8, 15
24.2, 42
29.5, 12
30.6, 100
33.9, 26
34.7, 16
36.0, 14
43.9, 51
46.8, 37
61.5, 16
63.8, 21
72.4, 15